Entry 1:
Pr3SbTe3: simulated powder diffractogram (Cu Kα), based on a DFT-relaxed cell (GGA-PBE, Alexandria).

Top 10 peaks for 10 to 90 degrees two-theta, low angle first:
| two_theta | d_spacing | I/Imax |
| --- | --- | --- |
| 18.84 | 4.710 | 47 |
| 23.39 | 3.804 | 22 |
| 27.67 | 3.224 | 54 |
| 29.33 | 3.045 | 56 |
| 30.43 | 2.938 | 53 |
| 32.94 | 2.720 | 94 |
| 33.69 | 2.660 | 100 |
| 34.50 | 2.600 | 33 |
| 43.54 | 2.079 | 33 |
| 47.82 | 1.902 | 36 |

Crystal structure
```
data_Pr3SbTe3
_chemical_formula_sum 'Pr6 Sb2 Te6'
_symmetry_space_group_name_H-M 'P 1'
_symmetry_Int_Tables_number 1
_cell_length_a 8.436
_cell_length_b 8.436
_cell_length_c 8.436
_cell_angle_alpha 67.89
_cell_angle_beta 67.89
_cell_angle_gamma 67.89
loop_
_symmetry_equiv_pos_as_xyz
'x,y,z'
loop_
_atom_site_label
_atom_site_fract_x
_atom_site_fract_y
_atom_site_fract_z
Pr1 0.031 0.433 0.799
Pr2 0.201 0.969 0.567
Pr3 0.433 0.799 0.031
Pr4 0.567 0.201 0.969
Pr5 0.799 0.031 0.433
Pr6 0.969 0.567 0.201
Sb1 0.161 0.161 0.161
Sb2 0.839 0.839 0.839
Te1 0.145 0.682 0.399
Te2 0.318 0.601 0.855
Te3 0.399 0.145 0.682
Te4 0.601 0.855 0.318
Te5 0.682 0.399 0.145
Te6 0.855 0.318 0.601
```

Entry 2:
InGa4Sn4: simulated powder diffractogram (Cu Kα), based on a DFT-relaxed cell (GGA-PBE, Alexandria).

Top 10 peaks for 10 to 90 degrees two-theta, low angle first:
| two_theta | d_spacing | I/Imax |
| --- | --- | --- |
| 26.27 | 3.392 | 66 |
| 29.01 | 3.078 | 100 |
| 32.34 | 2.768 | 50 |
| 34.62 | 2.591 | 56 |
| 38.88 | 2.316 | 86 |
| 40.19 | 2.244 | 72 |
| 49.24 | 1.851 | 24 |
| 49.77 | 1.832 | 36 |
| 57.14 | 1.612 | 33 |
| 69.94 | 1.345 | 29 |

Crystal structure
```
data_InGa4Sn4
_chemical_formula_sum 'In2 Ga8 Sn8'
_symmetry_space_group_name_H-M 'P 1'
_symmetry_Int_Tables_number 1
_cell_length_a 7.329
_cell_length_b 7.329
_cell_length_c 8.968
_cell_angle_alpha 90.00
_cell_angle_beta 90.00
_cell_angle_gamma 90.00
loop_
_symmetry_equiv_pos_as_xyz
'x,y,z'
loop_
_atom_site_label
_atom_site_fract_x
_atom_site_fract_y
_atom_site_fract_z
In1 0.250 0.750 0.250
In2 0.750 0.250 0.750
Ga1 0.059 0.250 0.147
Ga2 0.250 0.059 0.647
Ga3 0.250 0.441 0.647
Ga4 0.441 0.250 0.147
Ga5 0.559 0.750 0.853
Ga6 0.750 0.559 0.353
Ga7 0.750 0.941 0.353
Ga8 0.941 0.750 0.853
Sn1 0.019 0.750 0.543
Sn2 0.250 0.519 0.957
Sn3 0.250 0.981 0.957
Sn4 0.481 0.750 0.543
Sn5 0.519 0.250 0.457
Sn6 0.750 0.019 0.043
Sn7 0.750 0.481 0.043
Sn8 0.981 0.250 0.457
```

Entry 3:
Tb2Y3Th3: simulated powder diffractogram (Cu Kα), based on a DFT-relaxed cell (GGA-PBE, Alexandria).

Top 10 peaks for 10 to 90 degrees two-theta, low angle first:
| two_theta | d_spacing | I/Imax |
| --- | --- | --- |
| 17.51 | 5.064 | 8 |
| 30.65 | 2.917 | 100 |
| 35.45 | 2.532 | 34 |
| 35.73 | 2.513 | 17 |
| 51.01 | 1.791 | 12 |
| 51.21 | 1.784 | 24 |
| 60.69 | 1.526 | 29 |
| 61.06 | 1.518 | 14 |
| 63.83 | 1.458 | 12 |
| 83.50 | 1.158 | 12 |

Crystal structure
```
data_Tb2Y3Th3
_chemical_formula_sum 'Tb2 Y3 Th3'
_symmetry_space_group_name_H-M 'P 1'
_symmetry_Int_Tables_number 1
_cell_length_a 5.027
_cell_length_b 5.063
_cell_length_c 10.132
_cell_angle_alpha 90.00
_cell_angle_beta 90.00
_cell_angle_gamma 90.00
loop_
_symmetry_equiv_pos_as_xyz
'x,y,z'
loop_
_atom_site_label
_atom_site_fract_x
_atom_site_fract_y
_atom_site_fract_z
Tb1 0.000 0.000 0.248
Tb2 0.000 0.000 0.752
Y1 0.000 0.500 0.500
Y2 0.500 0.000 0.000
Y3 0.500 0.000 0.500
Th1 0.000 0.500 0.000
Th2 0.500 0.500 0.248
Th3 0.500 0.500 0.752
```

Entry 4:
Pu3Pd3Pt2: simulated powder diffractogram (Cu Kα), based on a DFT-relaxed cell (GGA-PBE, Alexandria).

Top 10 peaks for 10 to 90 degrees two-theta, low angle first:
| two_theta | d_spacing | I/Imax |
| --- | --- | --- |
| 12.52 | 7.069 | 13 |
| 21.17 | 4.197 | 18 |
| 27.51 | 3.242 | 23 |
| 33.81 | 2.651 | 39 |
| 34.50 | 2.600 | 100 |
| 38.92 | 2.314 | 69 |
| 39.19 | 2.299 | 45 |
| 41.08 | 2.197 | 43 |
| 54.22 | 1.692 | 21 |
| 70.62 | 1.334 | 13 |

Crystal structure
```
data_Pu3Pd3Pt2
_chemical_formula_sum 'Pu3 Pd3 Pt2'
_symmetry_space_group_name_H-M 'P 1'
_symmetry_Int_Tables_number 1
_cell_length_a 7.532
_cell_length_b 7.532
_cell_length_c 5.394
_cell_angle_alpha 100.63
_cell_angle_beta 100.63
_cell_angle_gamma 33.92
loop_
_symmetry_equiv_pos_as_xyz
'x,y,z'
loop_
_atom_site_label
_atom_site_fract_x
_atom_site_fract_y
_atom_site_fract_z
Pu1 0.000 0.000 0.000
Pu2 0.150 0.150 0.589
Pu3 0.850 0.850 0.411
Pd1 0.373 0.373 0.814
Pd2 0.500 0.500 0.500
Pd3 0.627 0.627 0.186
Pt1 0.234 0.234 0.137
Pt2 0.766 0.766 0.863
```

Entry 5:
La2Pm3Dy4: simulated powder diffractogram (Cu Kα), based on a DFT-relaxed cell (GGA-PBE, Alexandria).

Top 10 peaks for 10 to 90 degrees two-theta, low angle first:
| two_theta | d_spacing | I/Imax |
| --- | --- | --- |
| 28.41 | 3.142 | 44 |
| 29.86 | 2.992 | 42 |
| 31.42 | 2.847 | 56 |
| 33.01 | 2.714 | 100 |
| 41.68 | 2.167 | 26 |
| 50.31 | 1.814 | 35 |
| 56.06 | 1.641 | 29 |
| 59.61 | 1.551 | 36 |
| 61.49 | 1.508 | 17 |
| 83.34 | 1.160 | 14 |

Crystal structure
```
data_La2Pm3Dy4
_chemical_formula_sum 'La2 Pm3 Dy4'
_symmetry_space_group_name_H-M 'P 1'
_symmetry_Int_Tables_number 1
_cell_length_a 3.628
_cell_length_b 3.628
_cell_length_c 26.931
_cell_angle_alpha 90.00
_cell_angle_beta 90.00
_cell_angle_gamma 120.00
loop_
_symmetry_equiv_pos_as_xyz
'x,y,z'
loop_
_atom_site_label
_atom_site_fract_x
_atom_site_fract_y
_atom_site_fract_z
La1 0.000 0.000 0.000
La2 0.000 0.000 0.228
Pm1 0.000 0.000 0.782
Pm2 0.333 0.667 0.117
Pm3 0.333 0.667 0.461
Dy1 0.000 0.000 0.356
Dy2 0.000 0.000 0.571
Dy3 0.333 0.667 0.674
Dy4 0.333 0.667 0.890
```